Simulated X-ray diffraction stick pattern
Compound: KH8N3
Radiation: copper Kα
Structure: a DFT-relaxed cell (GGA-PBE, Alexandria)
No peak broadening, texture or thermal motion is included.

Structure:
```
data_KH8N3
_cell_length_a 7.0852
_cell_length_b 9.9220
_cell_length_c 6.7111
_cell_angle_alpha 90.00
_cell_angle_beta 90.00
_cell_angle_gamma 90.00
_space_group_name_H-M_alt 'C 2 2 21'
_space_group_IT_number 20
loop_
_space_group_symop_operation_xyz
'x,y,z'
'-x,-y,z+1/2'
'x,-y,-z'
'-x,y,-z+1/2'
'x+1/2,y+1/2,z'
'-x+1/2,-y+1/2,z+1/2'
'x+1/2,-y+1/2,-z'
'-x+1/2,y+1/2,-z+1/2'
loop_
_atom_site_label
_atom_site_type_symbol
_atom_site_fract_x
_atom_site_fract_y
_atom_site_fract_z
K1 K 0.0000 0.0600 0.2500
H1 H 0.1002 0.4958 0.8810
H2 H 0.1348 0.3449 0.4772
H3 H 0.2161 0.2825 0.9480
H4 H 0.2449 0.1654 0.7714
N1 N 0.1921 0.5000 0.0000
N2 N 0.2343 0.1798 0.9228
```

Peak list (10 most intense, 15 to 90 degrees two-theta, most intense first)
(hkl)  d [Å]  2θ/deg  I (rel.)
1 1 2  2.900  30.8  100.0
1 1 0  5.766  15.4  99.3
1 3 1  2.736  32.7  98.2
2 2 1  2.649  33.8  50.9
2 0 2  2.436  36.9  50.2
2 2 0  2.883  31.0  34.8
0 4 1  2.327  38.7  30.6
1 1 1  4.373  20.3  24.0
3 1 0  2.298  39.2  23.0
0 2 0  4.961  17.9  21.2